No. 1
Er3Tm2Ag2: computed PXRD pattern (Cu Ka), based on a PBE-relaxed structure.
Neutral-atom scattering factors, no anomalous dispersion.

Main lines, in order of falling intensity (10° ≤ 2θ ≤ 90°):
2θ 33.1, d = 2.710 Å, rel. 100
2θ 35.7, d = 2.515 Å, rel. 52
2θ 62.5, d = 1.487 Å, rel. 32
2θ 51.4, d = 1.778 Å, rel. 18
2θ 29.4, d = 3.040 Å, rel. 14
2θ 37.5, d = 2.401 Å, rel. 10
2θ 57.3, d = 1.608 Å, rel. 9
2θ 86.6, d = 1.125 Å, rel. 8
2θ 52.2, d = 1.751 Å, rel. 8
2θ 85.1, d = 1.141 Å, rel. 7

Cell lengths 3.5563, 3.5563, 29.2897 Å; angles 90.00, 90.00, 90.00 degrees
Space group I4/mmm (No. 139)
Inequivalent atoms, fractional coordinates:
Er: 0.0000 0.0000 0.0000 [2 per cell]
Er: 0.0000 0.0000 0.1252 [4 per cell]
Tm: 0.0000 0.0000 0.2907 [4 per cell]
Ag: 0.0000 0.0000 0.4375 [4 per cell]

No. 2
ErTm4Ag2: computed PXRD pattern (Cu Ka), based on a PBE-relaxed structure.
Neutral-atom scattering factors, no anomalous dispersion.

Main lines, in order of falling intensity (10° ≤ 2θ ≤ 90°):
2θ 36.3, d = 2.475 Å, rel. 100
2θ 36.9, d = 2.435 Å, rel. 94
2θ 25.7, d = 3.472 Å, rel. 80
2θ 65.7, d = 1.421 Å, rel. 34
2θ 52.7, d = 1.736 Å, rel. 34
2θ 45.0, d = 2.015 Å, rel. 18
2θ 65.3, d = 1.429 Å, rel. 18
2θ 59.1, d = 1.563 Å, rel. 17
2θ 88.7, d = 1.103 Å, rel. 16
2θ 66.9, d = 1.398 Å, rel. 16

Cell lengths 4.9504, 4.9504, 29.5832 Å; angles 90.00, 90.00, 120.00 degrees
Space group R-3m (No. 166, hexagonal axes)
Inequivalent atoms, fractional coordinates:
Er: 0.0000 0.0000 0.0000 [3 per cell]
Tm: 0.0000 0.0000 0.2023 [6 per cell]
Tm: 0.0000 0.0000 0.3970 [6 per cell]
Ag: 0.0000 0.0000 0.1009 [6 per cell]

No. 3
Er3Tm2Ag2: computed PXRD pattern (Cu Ka), based on a PBE-relaxed structure.
Neutral-atom scattering factors, no anomalous dispersion.

Main lines, in order of falling intensity (10° ≤ 2θ ≤ 90°):
2θ 34.0, d = 2.640 Å, rel. 100
2θ 33.8, d = 2.654 Å, rel. 84
2θ 60.6, d = 1.527 Å, rel. 31
2θ 48.6, d = 1.872 Å, rel. 30
2θ 60.8, d = 1.524 Å, rel. 19
2θ 27.6, d = 3.230 Å, rel. 14
2θ 81.4, d = 1.182 Å, rel. 13
2θ 71.5, d = 1.320 Å, rel. 13
2θ 60.0, d = 1.543 Å, rel. 10
2θ 60.3, d = 1.535 Å, rel. 9

Cell lengths 9.1474, 5.2791, 8.1891 Å; angles 90.00, 111.78, 90.00 degrees
Space group C2/m (No. 12)
Inequivalent atoms, fractional coordinates:
Er: 0.0000 0.0000 0.0000 [2 per cell]
Er: 0.1601 0.0000 0.4804 [4 per cell]
Tm: 0.0755 0.5000 0.7271 [4 per cell]
Ag: 0.2127 0.5000 0.1370 [4 per cell]